Starting from a structure optimized by DFT (PBE+U), the powder diffraction line list of NaDyVO4 was calculated for a wavelength of 1.5418 Å.

Most intense lines, 15 to 90 degrees two-theta, by angle:
20.5°, d 4.337, rel. 47.4
22.1°, d 4.025, rel. 71.4
29.5°, d 3.025, rel. 91.8
30.7°, d 2.916, rel. 57.6
32.9°, d 2.720, rel. 57.3
33.9°, d 2.642, rel. 86.0
37.4°, d 2.402, rel. 65.7
41.6°, d 2.169, rel. 100.0

Structure:
abc: 5.878 6.050 6.781
angles: 90.00 113.46 90.00
Space group P2_1/m (No. 11)
Unique sites:
Na 0.176 0.250 0.456
Dy 0.330 0.250 0.976
V 0.229 0.750 0.175
O 0.006 0.750 0.909
O 0.044 0.750 0.328
O 0.475 0.535 0.198